For Sc3N5F14, a cell relaxed with PBE gives the theoretical powder XRD pattern in this record (copper Kα).
Neutral-atom scattering factors, no anomalous dispersion.

Main lines, low angle first (10° ≤ 2θ ≤ 80°):
2theta  I/Imax  h k l
13.6  55.2  1 0 1
15.8  100.0  0 0 2
22.4  81.4  2 0 0
26.3  46.1  2 1 1
27.5  74.9  2 0 2
34.8  39.5  2 1 3
45.6  44.1  4 0 0
54.1  35.5  2 0 6

Structure:
abc: 7.956 7.956 11.233
angles: 90.00 90.00 90.00
Space group P4/mnc (No. 128)
Symmetry-distinct sites (fractional):
Sc (0.000, 0.000, 0.000) (multiplicity 2)
Sc (0.000, 0.500, 0.000) (multiplicity 4)
N (0.000, 0.000, 0.500) (multiplicity 2)
N (0.174, 0.326, 0.250) (multiplicity 8)
F (0.000, 0.000, 0.172) (multiplicity 4)
F (0.049, 0.316, 0.371) (multiplicity 16)
F (0.061, 0.741, 0.000) (multiplicity 8)